(1)
This entry pairs a crystal structure of Th2Pd6Au with its calculated powder diffractogram. Radiation: Cu Kα (λ = 1.5418 Å). Structure: a crystal structure in Alexandria, relaxed with GGA-PBE.
Kinematic intensities with the Lorentz-polarization factor, no thermal factor.

Structure:
Cell: 5.7559 5.7559 6.2298 Å, 90.00 90.00 120.00°
Positions (direct):
Th (0.3333, 0.6667, 0.2937)
Th (0.6667, 0.3333, 0.7063)
Pd (0.1751, 0.3501, 0.8261)
Pd (0.1751, 0.8249, 0.8261)
Pd (0.3501, 0.1751, 0.1739)
Pd (0.6499, 0.8249, 0.8261)
Pd (0.8249, 0.1751, 0.1739)
Pd (0.8249, 0.6499, 0.1739)
Au (0.0000, 0.0000, 0.5000)

Principal peaks in the range 2θ from 10° to 80°, sorted by position:
Position (°2θ)  I_rel
22.8  20
31.1  20
33.9  46
34.3  29
38.9  100
46.7  28
47.4  17
57.1  14
64.8  22
67.1  18

***

(2)
This entry pairs a crystal structure of Te6Pd2Pt with its calculated powder diffractogram. Radiation: Cu Kα (λ = 1.5418 Å). Structure: a crystal structure in Alexandria, relaxed with GGA-PBE.
Kinematic intensities with the Lorentz-polarization factor, no thermal factor.

Structure:
Cell: 5.3029 7.1433 12.1896 Å, 90.00 90.00 90.00°
Positions (direct):
Te (0.2215, 0.1844, 0.1535)
Te (0.2215, 0.1844, 0.8465)
Te (0.2387, 0.6708, 0.0000)
Te (0.2613, 0.1708, 0.5000)
Te (0.2785, 0.6844, 0.3465)
Te (0.2785, 0.6844, 0.6535)
Te (0.7215, 0.3156, 0.3465)
Te (0.7215, 0.3156, 0.6535)
Te (0.7387, 0.8292, 0.5000)
Te (0.7613, 0.3292, 0.0000)
Te (0.7785, 0.8156, 0.1535)
Te (0.7785, 0.8156, 0.8465)
Pd (0.0000, 0.0000, 0.3269)
Pd (0.0000, 0.0000, 0.6731)
Pd (0.5000, 0.5000, 0.1731)
Pd (0.5000, 0.5000, 0.8269)
Pt (0.0000, 0.5000, 0.5000)
Pt (0.5000, 0.0000, 0.0000)

Principal peaks in the range 2θ from 10° to 80°, sorted by position:
Position (°2θ)  I_rel
18.2  21
25.5  41
30.2  39
30.4  100
31.1  25
42.5  35
42.6  47
44.1  52
44.6  24
63.3  19

***

(3)
This entry pairs a crystal structure of Np2TaNbN5 with its calculated powder diffractogram. Radiation: Cu Kα (λ = 1.5418 Å). Structure: a crystal structure in Alexandria, relaxed with GGA-PBE.
Kinematic intensities with the Lorentz-polarization factor, no thermal factor.

Structure:
Cell: 6.8126 6.8126 10.2948 Å, 90.00 90.00 152.04°
Positions (direct):
Np (0.1075, 0.8925, 0.5000)
Np (0.1465, 0.8535, 0.1045)
Np (0.8535, 0.1465, 0.6045)
Np (0.8925, 0.1075, 0.0000)
Ta (0.2152, 0.7848, 0.8209)
Ta (0.7848, 0.2152, 0.3209)
Nb (0.4727, 0.5273, 0.2746)
Nb (0.5273, 0.4727, 0.7746)
N (0.0571, 0.9429, 0.8826)
N (0.2767, 0.7233, 0.4652)
N (0.3145, 0.6855, 0.1857)
N (0.3700, 0.6300, 0.8130)
N (0.4884, 0.5116, 0.5859)
N (0.5116, 0.4884, 0.0859)
N (0.6300, 0.3700, 0.3130)
N (0.6855, 0.3145, 0.6857)
N (0.7233, 0.2767, 0.9652)
N (0.9429, 0.0571, 0.3826)

Principal peaks in the range 2θ from 10° to 80°, sorted by position:
Position (°2θ)  I_rel
27.9  31
28.4  27
29.3  100
32.2  83
33.0  65
34.0  75
35.1  45
38.5  95
41.9  28
56.7  29

***

(4)
This entry pairs a crystal structure of Nb3V3Ir2 with its calculated powder diffractogram. Radiation: Cu Kα (λ = 1.5418 Å). Structure: a crystal structure in Alexandria, relaxed with GGA-PBE.
Kinematic intensities with the Lorentz-polarization factor, no thermal factor.

Structure:
Cell: 5.0002 5.0002 5.0002 Å, 89.91 89.91 89.91°
Positions (direct):
Nb (0.0000, 0.2526, 0.7474)
Nb (0.2526, 0.7474, 0.0000)
Nb (0.7474, 0.0000, 0.2526)
V (0.2538, 0.7462, 0.5000)
V (0.5000, 0.2538, 0.7462)
V (0.7462, 0.5000, 0.2538)
Ir (0.2541, 0.2541, 0.2541)
Ir (0.7459, 0.7459, 0.7459)

Principal peaks in the range 2θ from 10° to 80°, sorted by position:
Position (°2θ)  I_rel
25.2  46
35.9  45
40.3  40
44.4  100
51.7  7
58.4  10
67.5  4
70.4  25
70.5  25
76.2  12

***

(5)
This entry pairs a crystal structure of LiHfH3 with its calculated powder diffractogram. Radiation: Cu Kα (λ = 1.5418 Å). Structure: a crystal structure in Alexandria, relaxed with GGA-PBE.
Kinematic intensities with the Lorentz-polarization factor, no thermal factor.

Structure:
Cell: 3.2527 3.2654 8.6087 Å, 89.92 89.97 89.53°
Positions (direct):
Li (0.2480, 0.2503, 0.3811)
Li (0.7520, 0.7497, 0.6189)
Hf (0.2522, 0.2489, 0.8545)
Hf (0.7478, 0.7511, 0.1455)
H (0.2476, 0.7508, 0.2819)
H (0.2494, 0.7493, 0.9993)
H (0.2520, 0.7500, 0.7197)
H (0.7480, 0.2500, 0.2803)
H (0.7506, 0.2507, 0.0007)
H (0.7524, 0.2492, 0.7181)

Principal peaks in the range 2θ from 10° to 80°, sorted by position:
Position (°2θ)  I_rel
10.3  100
29.3  31
29.4  31
31.2  17
34.5  34
34.6  34
38.9  12
39.3  12
42.0  12
50.9  11

***

(6)
This entry pairs a crystal structure of Tb4Ho4Er with its calculated powder diffractogram. Radiation: Cu Kα (λ = 1.5418 Å). Structure: a crystal structure in Alexandria, relaxed with GGA-PBE.
Kinematic intensities with the Lorentz-polarization factor, no thermal factor.

Structure:
Cell: 7.8989 7.8989 7.8989 Å, 95.72 95.72 143.20°
Positions (direct):
Tb (0.0000, 0.3327, 0.3327)
Tb (0.0000, 0.6673, 0.6673)
Tb (0.3327, 0.0000, 0.3327)
Tb (0.6673, 0.0000, 0.6673)
Ho (0.3336, 0.3336, 0.6672)
Ho (0.3336, 0.6664, 0.0000)
Ho (0.6664, 0.3336, 0.0000)
Ho (0.6664, 0.6664, 0.3328)
Er (0.0000, 0.0000, 0.0000)

Principal peaks in the range 2θ from 10° to 80°, sorted by position:
Position (°2θ)  I_rel
31.0  100
36.0  51
51.8  36
61.6  29
61.7  14
64.7  12
76.2  4
76.4  2

***

Copy entry 4 word for word.
This entry pairs a crystal structure of Nb3V3Ir2 with its calculated powder diffractogram. Radiation: Cu Kα (λ = 1.5418 Å). Structure: a crystal structure in Alexandria, relaxed with GGA-PBE.
Kinematic intensities with the Lorentz-polarization factor, no thermal factor.

Structure:
Cell: 5.0002 5.0002 5.0002 Å, 89.91 89.91 89.91°
Positions (direct):
Nb (0.0000, 0.2526, 0.7474)
Nb (0.2526, 0.7474, 0.0000)
Nb (0.7474, 0.0000, 0.2526)
V (0.2538, 0.7462, 0.5000)
V (0.5000, 0.2538, 0.7462)
V (0.7462, 0.5000, 0.2538)
Ir (0.2541, 0.2541, 0.2541)
Ir (0.7459, 0.7459, 0.7459)

Principal peaks in the range 2θ from 10° to 80°, sorted by position:
Position (°2θ)  I_rel
25.2  46
35.9  45
40.3  40
44.4  100
51.7  7
58.4  10
67.5  4
70.4  25
70.5  25
76.2  12